No. 1
This entry pairs a crystal structure of Ca2Cu2Si3H4O12 with its theoretical powder X-ray diffraction pattern. Radiation: Cu Kα (λ = 1.5418 Å). Structure: a structure optimized by DFT (PBE).

Structure:
```
Ca2Cu2Si3H4O12
1.0
5.4522 0.0000 0.0000
0.0000 13.3100 0.0000
-0.3956 0.0000 7.0926
Ca Cu Si H O
4 4 6 8 24
Direct
0.0444 0.1055 0.1230 Ca
0.0444 0.3945 0.1230 Ca
0.9556 0.6055 0.8770 Ca
0.9556 0.8945 0.8770 Ca
0.2232 0.2500 0.4814 Cu
0.2925 0.7500 0.4398 Cu
0.7075 0.2500 0.5602 Cu
0.7768 0.7500 0.5186 Cu
0.4477 0.7500 0.9144 Si
0.4611 0.0770 0.7775 Si
0.4611 0.4230 0.7775 Si
0.5389 0.5770 0.2225 Si
0.5389 0.9230 0.2225 Si
0.5523 0.2500 0.0856 Si
0.0074 0.0901 0.6408 H
0.0074 0.4099 0.6408 H
0.1943 0.5924 0.5416 H
0.1943 0.9076 0.5416 H
0.8057 0.0924 0.4584 H
0.8057 0.4076 0.4584 H
0.9926 0.5901 0.3592 H
0.9926 0.9099 0.3592 H
0.0594 0.6310 0.4776 O
0.0594 0.8690 0.4776 O
0.1721 0.0495 0.8138 O
0.1721 0.4505 0.8138 O
0.2065 0.7500 0.7727 O
0.2842 0.2500 0.1759 O
0.3517 0.0126 0.2510 O
0.3517 0.4874 0.2510 O
0.4175 0.6495 0.0488 O
0.4175 0.8505 0.0488 O
0.4536 0.1513 0.5849 O
0.4536 0.3487 0.5849 O
0.5464 0.6513 0.4151 O
0.5464 0.8487 0.4151 O
0.5825 0.1495 0.9512 O
0.5825 0.3505 0.9512 O
0.6483 0.5126 0.7490 O
0.6483 0.9874 0.7490 O
0.7158 0.7500 0.8241 O
0.7935 0.2500 0.2273 O
0.8279 0.5495 0.1862 O
0.8279 0.9505 0.1862 O
0.9406 0.1310 0.5224 O
0.9406 0.3690 0.5224 O
```

Top 10 peaks for 2θ from 10° to 80°, low angle first:
13.30°, I = 680; 18.28°, I = 1000; 21.10°, I = 292; 25.98°, I = 537; 28.51°, I = 940; 29.26°, I = 363; 29.66°, I = 256; 35.69°, I = 646; 38.06°, I = 275; 42.93°, I = 554

***

No. 2
This entry pairs a crystal structure of Ni17Ge4Se4 with its theoretical powder X-ray diffraction pattern. Radiation: Cu Kα (λ = 1.5418 Å). Structure: a structure optimized by DFT (PBE).

Structure:
```
Ni17Ge4Se4
1.0
3.6007 0.0000 0.0000
0.0000 3.6007 0.0000
0.0000 0.0000 25.4298
Ni Ge Se
17 4 4
Direct
0.0000 0.0000 0.0687 Ni
0.0000 0.0000 0.2863 Ni
0.0000 0.0000 0.9312 Ni
0.0000 0.5000 0.0000 Ni
0.0000 0.5000 0.1391 Ni
0.0000 0.5000 0.3625 Ni
0.0000 0.5000 0.5003 Ni
0.0000 0.5000 0.6391 Ni
0.0000 0.5000 0.8608 Ni
0.5000 0.0000 0.0000 Ni
0.5000 0.0000 0.1391 Ni
0.5000 0.0000 0.3625 Ni
0.5000 0.0000 0.5003 Ni
0.5000 0.0000 0.6391 Ni
0.5000 0.0000 0.8608 Ni
0.5000 0.5000 0.4323 Ni
0.5000 0.5000 0.5690 Ni
0.0000 0.0000 0.4297 Ge
0.0000 0.0000 0.5700 Ge
0.5000 0.5000 0.0704 Ge
0.5000 0.5000 0.9292 Ge
0.0000 0.0000 0.1966 Se
0.0000 0.0000 0.8027 Se
0.5000 0.5000 0.2984 Se
0.5000 0.5000 0.6971 Se
```

Top 10 peaks for 2θ from 10° to 80°, low angle first:
13.93°, I = 105; 26.90°, I = 103; 30.42°, I = 124; 38.07°, I = 53; 41.37°, I = 502; 45.65°, I = 1000; 50.23°, I = 169; 50.71°, I = 525; 74.16°, I = 196; 74.54°, I = 146

***

No. 3
This entry pairs a crystal structure of KMnH24C14N8 with its theoretical powder X-ray diffraction pattern. Radiation: Cu Kα (λ = 1.5418 Å). Structure: a structure optimized by DFT (PBE).

Structure:
```
KMnH24C14N8
1.0
-4.4815 4.4815 6.2093
4.4815 -4.4815 6.2093
4.4815 4.4815 -6.2093
K Mn H C N
1 1 24 14 8
Direct
0.0000 0.0000 0.0000 K
0.5000 0.5000 0.0000 Mn
0.0122 0.2122 0.6015 H
0.0444 0.6892 0.5430 H
0.0721 0.7497 0.2260 H
0.1462 0.5014 0.4570 H
0.1539 0.9279 0.6776 H
0.2122 0.6107 0.2000 H
0.2503 0.4763 0.3224 H
0.3108 0.8538 0.3553 H
0.3893 0.5893 0.6015 H
0.4107 0.0122 0.8000 H
0.4763 0.1539 0.2260 H
0.4986 0.9556 0.6447 H
0.5014 0.0444 0.3553 H
0.5237 0.8461 0.7740 H
0.5893 0.9878 0.2000 H
0.6107 0.4107 0.3985 H
0.6892 0.1462 0.6447 H
0.7497 0.5237 0.6776 H
0.7878 0.3893 0.8000 H
0.8461 0.0721 0.3224 H
0.8538 0.4986 0.5430 H
0.9279 0.2503 0.7740 H
0.9556 0.3108 0.4570 H
0.9878 0.7878 0.3985 H
0.0985 0.7920 0.5322 C
0.2080 0.7401 0.3064 C
0.2599 0.5663 0.4678 C
0.3220 0.6340 0.9560 C
0.3404 0.3404 0.0000 C
0.3660 0.3220 0.6881 C
0.4337 0.9015 0.6936 C
0.5663 0.0985 0.3064 C
0.6340 0.6780 0.3119 C
0.6596 0.6596 0.0000 C
0.6780 0.3660 0.0440 C
0.7401 0.4337 0.5322 C
0.7920 0.2599 0.6936 C
0.9015 0.2080 0.4678 C
0.2190 0.7154 0.9344 N
0.2452 0.2452 0.0000 N
0.2500 0.7500 0.5000 N
0.2846 0.2190 0.5035 N
0.7154 0.7810 0.4965 N
0.7500 0.2500 0.5000 N
0.7548 0.7548 0.0000 N
0.7810 0.2846 0.0656 N
```

Top 10 peaks for 2θ from 10° to 80°, low angle first:
12.18°, I = 453; 19.81°, I = 564; 20.02°, I = 1000; 28.16°, I = 543; 28.76°, I = 239; 31.06°, I = 258; 31.57°, I = 261; 32.10°, I = 184; 40.68°, I = 226; 45.28°, I = 140